1.
Starting from DFT lattice parameters and positions (GGA-PBE), the PXRD pattern of Ag5Sn3 was calculated for a wavelength of 1.5418 Å.
Neutral-atom scattering factors, no anomalous dispersion.

Cell and atoms:
Lattice parameters (Å, degrees): 5.887 5.887 10.142 90.00 90.00 74.65
Positions (direct):
Ag (0.005, 0.995, 0.750)
Ag (0.067, 0.486, 0.750)
Ag (0.306, 0.694, 0.547)
Ag (0.306, 0.694, 0.953)
Ag (0.486, 0.067, 0.250)
Ag (0.514, 0.933, 0.750)
Ag (0.694, 0.306, 0.047)
Ag (0.694, 0.306, 0.453)
Ag (0.933, 0.514, 0.250)
Ag (0.995, 0.005, 0.250)
Sn (0.211, 0.211, 0.000)
Sn (0.211, 0.211, 0.500)
Sn (0.398, 0.602, 0.250)
Sn (0.602, 0.398, 0.750)
Sn (0.789, 0.789, 0.000)
Sn (0.789, 0.789, 0.500)

Main lines, low angle first (2θ = 10–80°):
| 2θ (°) | I/Imax |
| --- | --- |
| 35.4 | 35.1 |
| 36.1 | 15.8 |
| 36.3 | 100.0 |
| 38.5 | 26.4 |
| 39.1 | 16.2 |
| 41.4 | 16.3 |
| 41.5 | 16.5 |
| 53.3 | 13.6 |

=====

2.
Starting from DFT lattice parameters and positions (GGA-PBE), the PXRD pattern of Li3BeO2 was calculated for a wavelength of 1.5418 Å.
Neutral-atom scattering factors, no anomalous dispersion.

Cell and atoms:
Lattice parameters (Å, degrees): 5.812 5.812 5.812 132.78 74.26 126.31
Positions (direct):
Li (0.008, 0.750, 0.258)
Li (0.250, 0.250, 0.000)
Li (0.492, 0.750, 0.742)
Li (0.508, 0.250, 0.258)
Li (0.750, 0.750, 0.000)
Li (0.992, 0.250, 0.742)
Be (0.000, 0.500, 0.500)
Be (0.500, 0.000, 0.500)
O (0.121, 0.736, 0.857)
O (0.379, 0.236, 0.615)
O (0.621, 0.764, 0.385)
O (0.879, 0.264, 0.143)

Main lines, low angle first (2θ = 10–80°):
| 2θ (°) | I/Imax |
| --- | --- |
| 32.2 | 100.0 |
| 34.2 | 11.0 |
| 40.6 | 7.1 |
| 52.6 | 15.3 |
| 52.7 | 15.2 |
| 56.0 | 20.3 |
| 59.9 | 10.1 |
| 66.2 | 6.5 |

=====

3.
Starting from DFT lattice parameters and positions (GGA-PBE), the PXRD pattern of Mg4Sc5Tl2 was calculated for a wavelength of 1.5418 Å.
Neutral-atom scattering factors, no anomalous dispersion.

Cell and atoms:
Lattice parameters (Å, degrees): 8.038 18.346 3.512 90.00 90.00 90.00
Positions (direct):
Mg (0.088, 0.145, 0.000)
Mg (0.210, 0.435, 0.000)
Mg (0.290, 0.935, 0.000)
Mg (0.412, 0.645, 0.000)
Mg (0.588, 0.355, 0.000)
Mg (0.710, 0.065, 0.000)
Mg (0.790, 0.565, 0.000)
Mg (0.912, 0.855, 0.000)
Sc (0.000, 0.000, 0.500)
Sc (0.125, 0.570, 0.500)
Sc (0.228, 0.793, 0.500)
Sc (0.272, 0.293, 0.500)
Sc (0.375, 0.070, 0.500)
Sc (0.500, 0.500, 0.500)
Sc (0.625, 0.930, 0.500)
Sc (0.728, 0.707, 0.500)
Sc (0.772, 0.207, 0.500)
Sc (0.875, 0.430, 0.500)
Tl (0.031, 0.696, 0.000)
Tl (0.469, 0.196, 0.000)
Tl (0.531, 0.804, 0.000)
Tl (0.969, 0.304, 0.000)

Main lines, low angle first (2θ = 10–80°):
| 2θ (°) | I/Imax |
| --- | --- |
| 12.0 | 41.2 |
| 18.2 | 100.0 |
| 26.7 | 36.2 |
| 27.2 | 39.8 |
| 31.4 | 41.1 |
| 34.0 | 35.8 |
| 35.3 | 81.0 |
| 37.2 | 84.0 |

=====

4.
Starting from DFT lattice parameters and positions (GGA-PBE), the PXRD pattern of Ba2YTlO6 was calculated for a wavelength of 1.5418 Å.
Neutral-atom scattering factors, no anomalous dispersion.

Cell and atoms:
Lattice parameters (Å, degrees): 6.218 6.218 6.218 120.08 120.08 89.85
Positions (direct):
Ba (0.250, 0.750, 0.500)
Ba (0.750, 0.250, 0.500)
Y (0.000, 0.000, 0.000)
Tl (0.500, 0.500, 0.000)
O (0.250, 0.250, 0.000)
O (0.251, 0.251, 0.502)
O (0.251, 0.749, 0.000)
O (0.749, 0.251, 0.000)
O (0.749, 0.749, 0.498)
O (0.750, 0.750, 0.000)

Main lines, low angle first (2θ = 10–80°):
| 2θ (°) | I/Imax |
| --- | --- |
| 17.5 | 9.0 |
| 28.7 | 100.0 |
| 41.0 | 10.0 |
| 41.1 | 19.8 |
| 50.9 | 41.7 |
| 59.5 | 19.0 |
| 67.4 | 12.2 |
| 74.8 | 6.3 |

=====

5.
Starting from DFT lattice parameters and positions (GGA-PBE), the PXRD pattern of K12Hg was calculated for a wavelength of 1.5418 Å.
Neutral-atom scattering factors, no anomalous dispersion.

Cell and atoms:
Lattice parameters (Å, degrees): 10.341 10.341 10.341 109.47 109.47 109.47
Positions (direct):
K (0.131, 0.305, 0.826)
K (0.174, 0.480, 0.305)
K (0.174, 0.869, 0.695)
K (0.305, 0.174, 0.480)
K (0.305, 0.826, 0.131)
K (0.480, 0.305, 0.174)
K (0.520, 0.695, 0.826)
K (0.695, 0.174, 0.869)
K (0.695, 0.826, 0.520)
K (0.826, 0.131, 0.305)
K (0.826, 0.520, 0.695)
K (0.869, 0.695, 0.174)
Hg (0.000, 0.000, 0.000)

Main lines, low angle first (2θ = 10–80°):
| 2θ (°) | I/Imax |
| --- | --- |
| 10.5 | 85.9 |
| 18.2 | 29.9 |
| 23.6 | 91.6 |
| 25.8 | 37.8 |
| 28.0 | 100.0 |
| 38.4 | 29.9 |
| 44.2 | 26.5 |
| 46.9 | 39.3 |

=====

6.
Starting from DFT lattice parameters and positions (GGA-PBE), the PXRD pattern of IrPt2Pb2 was calculated for a wavelength of 1.5418 Å.
Neutral-atom scattering factors, no anomalous dispersion.

Cell and atoms:
Lattice parameters (Å, degrees): 6.992 6.992 4.260 90.00 90.00 90.00
Positions (direct):
Ir (0.000, 0.000, 0.000)
Ir (0.500, 0.500, 0.000)
Pt (0.136, 0.364, 0.000)
Pt (0.364, 0.864, 0.000)
Pt (0.636, 0.136, 0.000)
Pt (0.864, 0.636, 0.000)
Pb (0.176, 0.676, 0.500)
Pb (0.324, 0.176, 0.500)
Pb (0.676, 0.824, 0.500)
Pb (0.824, 0.324, 0.500)

Main lines, low angle first (2θ = 10–80°):
| 2θ (°) | I/Imax |
| --- | --- |
| 33.2 | 25.9 |
| 35.6 | 100.0 |
| 40.8 | 34.6 |
| 42.4 | 22.2 |
| 58.6 | 13.6 |
| 60.3 | 22.3 |
| 73.2 | 12.8 |
| 76.7 | 10.8 |

=====

7.
Starting from DFT lattice parameters and positions (GGA-PBE), the PXRD pattern of NaDyTm2S4 was calculated for a wavelength of 1.5418 Å.
Neutral-atom scattering factors, no anomalous dispersion.

Cell and atoms:
Lattice parameters (Å, degrees): 6.760 3.865 6.771 90.00 109.00 90.00
Positions (direct):
Na (0.000, 0.000, 0.000)
Dy (0.500, 0.500, 0.000)
Tm (0.000, 0.500, 0.500)
Tm (0.500, 0.000, 0.500)
S (0.248, 0.000, 0.744)
S (0.256, 0.500, 0.260)
S (0.744, 0.500, 0.740)
S (0.752, 0.000, 0.256)

Main lines, low angle first (2θ = 10–80°):
| 2θ (°) | I/Imax |
| --- | --- |
| 13.8 | 25.8 |
| 27.9 | 34.0 |
| 28.2 | 33.0 |
| 32.5 | 100.0 |
| 46.2 | 12.2 |
| 46.6 | 47.7 |
| 57.6 | 12.5 |
| 77.5 | 15.8 |